Entry 1:
Computed powder X-ray diffraction pattern
Compound: HfUSe3
Radiation: λ = 1.5418 Å (Cu Kα)
Structure: a crystal structure in Alexandria, relaxed with GGA-PBE

Crystal structure
```
HfUSe3
1.0
1.967 -10.141 0.000
1.967 10.141 0.000
0.000 0.000 6.880
Hf U Se
2 2 6
direct
0.167 0.833 0.500
0.833 0.167 0.000
0.337 0.663 0.503
0.663 0.337 0.003
0.088 0.912 0.192
0.251 0.749 0.832
0.406 0.594 0.147
0.594 0.406 0.647
0.749 0.251 0.332
0.912 0.088 0.692
```

Peak list (8 most intense, 15° ≤ 2θ ≤ 90°, by intensity)
34.33°, intensity 100
26.47°, intensity 78
40.85°, intensity 67
46.03°, intensity 65
37.30°, intensity 63
17.49°, intensity 43
29.30°, intensity 38
60.78°, intensity 31

Entry 2:
Computed powder X-ray diffraction pattern
Compound: Co2P2N
Radiation: λ = 1.5418 Å (Cu Kα)
Structure: a crystal structure in Alexandria, relaxed with GGA-PBE

Crystal structure
```
Co2P2N
1.0
2.681 0.000 0.000
0.000 2.935 0.000
0.000 0.000 14.101
Co P N
4 4 2
direct
0.000 0.000 0.000
0.000 0.000 0.174
0.500 0.500 0.500
0.500 0.500 0.674
0.000 0.000 0.578
0.000 0.500 0.292
0.500 0.000 0.792
0.500 0.500 0.078
0.000 0.000 0.863
0.500 0.500 0.363
```

Peak list (8 most intense, 15° ≤ 2θ ≤ 90°, by intensity)
44.55°, intensity 100
31.12°, intensity 69
47.72°, intensity 65
34.04°, intensity 64
45.84°, intensity 64
57.20°, intensity 46
61.22°, intensity 35
46.75°, intensity 35